Simulated PXRD pattern of CrCuBr4 for λ = 1.5418 Å (Cu Kα), from a crystal structure in Alexandria, relaxed with PBE.
No peak broadening, texture or thermal motion is included.

Peak list (10 most intense, 5 to 70 degrees two-theta, in order of falling intensity)
| index | 2theta | d/Å | I_rel |
| --- | --- | --- | --- |
| 1 0 0 | 13.37 | 6.620 | 100 |
| 1 1 1 | 31.19 | 2.868 | 91 |
| 2 1 1 | 39.73 | 2.269 | 55 |
| 1 0 -2 | 28.38 | 3.144 | 44 |
| 0 1 3 | 47.05 | 1.931 | 35 |
| 2 0 -2 | 36.06 | 2.491 | 31 |
| 3 1 -1 | 48.82 | 1.866 | 29 |
| 1 1 -1 | 30.07 | 2.972 | 24 |
| 0 2 0 | 49.21 | 1.852 | 18 |
| 3 0 2 | 51.47 | 1.775 | 15 |

Crystal structure
```
data_CrCuBr4
_chemical_formula_sum 'Cr1 Cu1 Br4'
_space_group_name_H-M_alt 'P 1 2/m 1'
_space_group_IT_number 10
_cell_length_a 6.6501
_cell_length_b 3.7034
_cell_length_c 6.8215
_cell_angle_alpha 90.00
_cell_angle_beta 95.42
_cell_angle_gamma 90.00
loop_
_space_group_symop_operation_xyz
'x,y,z'
'-x,-y,-z'
'-x,y,-z'
'x,-y,z'
loop_
_atom_site_label
_atom_site_type_symbol
_atom_site_fract_x
_atom_site_fract_y
_atom_site_fract_z
Cr1 Cr 0.0000 0.0000 0.0000
Cu1 Cu 0.0000 0.5000 0.5000
Br1 Br 0.1946 0.0000 0.6971
Br2 Br 0.2316 0.5000 0.1504
```

Simulated PXRD pattern of Cr2CuSe3Br for λ = 1.5418 Å (Cu Kα), from a crystal structure in Alexandria, relaxed with PBE.
No peak broadening, texture or thermal motion is included.

Peak list (10 most intense, 5 to 70 degrees two-theta, in order of falling intensity)
| index | 2theta | d/Å | I_rel |
| --- | --- | --- | --- |
| 0 2 4 | 33.83 | 2.650 | 100 |
| 2 2 0 | 48.67 | 1.871 | 58 |
| 2 0 8 | 48.51 | 1.877 | 48 |
| 0 2 1 | 27.92 | 3.196 | 38 |
| 2 0 2 | 29.22 | 3.057 | 36 |
| 1 2 5 | 44.43 | 2.039 | 30 |
| 0 0 6 | 29.09 | 3.069 | 27 |
| 2 2 6 | 57.72 | 1.597 | 24 |
| 1 1 0 | 23.75 | 3.746 | 17 |
| 4 0 4 | 60.59 | 1.528 | 15 |

Crystal structure
```
data_Cr2CuSe3Br
_chemical_formula_sum 'Cr12 Cu6 Se18 Br6'
_space_group_name_H-M_alt 'R -3 m'
_space_group_IT_number 166
_space_group_name_Hall '-R 3 2"'
_cell_length_a 7.4835
_cell_length_b 7.4835
_cell_length_c 18.4157
_cell_angle_alpha 90.00
_cell_angle_beta 90.00
_cell_angle_gamma 120.00
loop_
_atom_site_label
_atom_site_type_symbol
_atom_site_fract_x
_atom_site_fract_y
_atom_site_fract_z
Cr1 Cr 0.0000 0.0000 0.0000
Cr2 Cr 0.0000 0.5000 0.5000
Cu1 Cu 0.0000 0.0000 0.4022
Se1 Se 0.0279 0.5140 0.7540
Br1 Br 0.0000 0.0000 0.2449
```